# 1
Structure and theoretical powder XRD pattern of USi2Ni2 (a GGA-PBE-relaxed structure; Cu Ka).
Lines closer than 0.1° are merged.

Cell and atoms:
Cell: 3.9390 3.9390 9.5702 Å, 90.00 90.00 90.00°
Positions (direct):
U: 0.0000 0.0000 0.0000
U: 0.5000 0.5000 0.5000
Si: 0.0000 0.0000 0.3770
Si: 0.0000 0.0000 0.6230
Si: 0.5000 0.5000 0.1230
Si: 0.5000 0.5000 0.8770
Ni: 0.0000 0.5000 0.2500
Ni: 0.0000 0.5000 0.7500
Ni: 0.5000 0.0000 0.2500
Ni: 0.5000 0.0000 0.7500

Top 10 peaks for 2θ from 10° to 90°, sorted by position:
2θ (°), intensity
24.4, 76.5
36.2, 59.6
37.4, 100.0
37.6, 17.3
46.1, 36.5
52.8, 20.8
53.2, 20.7
60.0, 28.4
73.0, 16.9
79.5, 22.5



# 2
Structure and theoretical powder XRD pattern of KHfMg6 (a GGA-PBE-relaxed structure; Cu Ka).
Lines closer than 0.1° are merged.

Cell and atoms:
Cell: 4.6731 9.4163 9.4083 Å, 90.00 90.00 90.00°
Positions (direct):
K: 0.0000 0.0000 0.0000
K: 0.0000 0.5000 0.5000
Hf: 0.0000 0.0000 0.4907
Hf: 0.0000 0.5000 0.9907
Mg: 0.0000 0.2438 0.7436
Mg: 0.0000 0.2562 0.2436
Mg: 0.0000 0.7438 0.2436
Mg: 0.0000 0.7562 0.7436
Mg: 0.5000 0.0000 0.2689
Mg: 0.5000 0.0000 0.7175
Mg: 0.5000 0.2258 0.4909
Mg: 0.5000 0.2742 0.9909
Mg: 0.5000 0.5000 0.2175
Mg: 0.5000 0.5000 0.7689
Mg: 0.5000 0.7258 0.9909
Mg: 0.5000 0.7742 0.4909

Top 10 peaks for 2θ from 10° to 90°, sorted by position:
2θ (°), intensity
13.3, 71.4
18.9, 41.5
19.0, 19.8
23.3, 24.4
26.8, 35.2
33.0, 100.0
35.8, 27.6
38.2, 32.4
55.4, 21.5
65.9, 23.0



# 3
Structure and theoretical powder XRD pattern of Sr4GaSi3 (a GGA-PBE-relaxed structure; Cu Ka).
Lines closer than 0.1° are merged.

Cell and atoms:
Cell: 4.1735 4.7911 11.5449 Å, 90.00 90.00 90.00°
Positions (direct):
Sr: 0.0000 0.0000 0.0000
Sr: 0.0000 0.5000 0.4923
Sr: 0.5000 0.0000 0.2715
Sr: 0.5000 0.5000 0.7753
Ga: 0.0000 0.0000 0.6979
Si: 0.0000 0.5000 0.1962
Si: 0.5000 0.0000 0.5677
Si: 0.5000 0.5000 0.0734

Top 10 peaks for 2θ from 10° to 90°, sorted by position:
2θ (°), intensity
26.4, 32.4
29.4, 100.0
29.8, 57.9
31.0, 22.2
36.9, 51.4
37.5, 30.2
37.9, 17.2
43.4, 19.9
53.5, 21.7
58.7, 16.0



# 4
Structure and theoretical powder XRD pattern of LiNb2P2O10 (a GGA-PBE-relaxed structure; Cu Ka).
Lines closer than 0.1° are merged.

Cell and atoms:
Cell: 6.5122 6.5122 5.0205 Å, 90.00 90.00 90.00°
Positions (direct):
Li: 0.0000 0.0000 0.0000
Nb: 0.0000 0.5000 0.2319
Nb: 0.5000 0.0000 0.7681
P: 0.0000 0.0000 0.5000
P: 0.5000 0.5000 0.5000
O: 0.0000 0.1842 0.3079
O: 0.0000 0.5000 0.8833
O: 0.0000 0.8158 0.3079
O: 0.1842 0.0000 0.6921
O: 0.3053 0.5000 0.3241
O: 0.5000 0.0000 0.1167
O: 0.5000 0.3053 0.6759
O: 0.5000 0.6947 0.6759
O: 0.6947 0.5000 0.3241
O: 0.8158 0.0000 0.6921

Top 10 peaks for 2θ from 10° to 90°, sorted by position:
2θ (°), intensity
19.3, 17.4
22.4, 100.0
26.3, 25.0
27.4, 68.5
35.6, 14.0
40.9, 21.4
44.0, 13.5
45.5, 25.7
54.0, 13.9
57.9, 23.1



# 5
Structure and theoretical powder XRD pattern of Rb6Na2U2C6O23 (a GGA-PBE-relaxed structure; Cu Ka).
Lines closer than 0.1° are merged.

Cell and atoms:
Cell: 8.5609 9.6308 9.6315 Å, 119.98 90.01 90.00°
Positions (direct):
Rb: 0.0000 0.0000 0.0000
Rb: 0.9998 0.2802 0.7185
Rb: 0.0000 0.7183 0.4380
Rb: 0.4991 0.0001 0.0017
Rb: 0.4992 0.2819 0.7184
Rb: 0.4992 0.7166 0.4364
Na: 0.2488 0.6661 0.0524
Na: 0.7492 0.3330 0.3855
U: 0.2490 0.3328 0.3854
U: 0.7490 0.6662 0.0522
C: 0.2493 0.0130 0.3480
C: 0.2493 0.3705 0.1032
C: 0.2493 0.6153 0.7054
C: 0.7489 0.3840 0.0895
C: 0.7489 0.6291 0.7328
C: 0.7490 0.9855 0.3343
O: 0.0332 0.3330 0.3856
O: 0.2491 0.0393 0.2261
O: 0.2495 0.1455 0.4888
O: 0.2495 0.2296 0.0950
O: 0.2491 0.4671 0.6790
O: 0.2491 0.4923 0.2512
O: 0.2495 0.7370 0.8439
O: 0.2495 0.3871 0.9812
O: 0.2495 0.6236 0.5727
O: 0.2495 0.8743 0.3313
O: 0.4648 0.3331 0.3856
O: 0.5339 0.6663 0.0523
O: 0.7490 0.1244 0.4567
O: 0.7491 0.2615 0.1059
O: 0.7489 0.3765 0.9494
O: 0.7487 0.5067 0.7578
O: 0.7487 0.5313 0.2119
O: 0.7491 0.6127 0.5940
O: 0.7489 0.7693 0.8653
O: 0.7490 0.8530 0.3420
O: 0.7487 0.9606 0.1870
O: 0.7941 0.9996 0.7183
O: 0.9641 0.6664 0.0523

Top 10 peaks for 2θ from 10° to 90°, sorted by position:
2θ (°), intensity
10.6, 33.4
14.8, 100.0
18.4, 25.7
23.4, 31.1
23.7, 27.3
27.9, 93.8
28.3, 25.9
30.2, 29.1
32.2, 49.0
43.1, 33.6



# 6
Structure and theoretical powder XRD pattern of Na7MgCu3O8 (a GGA-PBE-relaxed structure; Cu Ka).
Lines closer than 0.1° are merged.

Cell and atoms:
Cell: 5.8643 6.1290 7.9723 Å, 110.97 107.62 92.15°
Positions (direct):
Na: 0.0000 0.0000 0.0000
Na: 0.0142 0.1507 0.4236
Na: 0.1499 0.4789 0.2737
Na: 0.4342 0.8138 0.8445
Na: 0.4556 0.2432 0.7113
Na: 0.5260 0.2691 0.1293
Na: 0.6125 0.5409 0.5359
Mg: 0.0514 0.8002 0.5753
Cu: 0.4990 0.9190 0.3391
Cu: 0.7532 0.6476 0.0944
Cu: 0.9758 0.3940 0.8207
O: 0.0844 0.5262 0.6593
O: 0.1406 0.1159 0.7928
O: 0.3386 0.1854 0.3257
O: 0.3482 0.8325 0.5005
O: 0.6623 0.9446 0.1618
O: 0.7491 0.6683 0.3379
O: 0.7629 0.6327 0.8588
O: 0.8264 0.3381 0.0047

Top 10 peaks for 2θ from 10° to 90°, sorted by position:
2θ (°), intensity
15.9, 60.1
23.7, 100.0
24.3, 69.6
32.4, 31.8
33.5, 34.5
33.9, 40.0
40.7, 50.2
41.9, 29.9
43.5, 29.6
48.5, 32.6



# 7
Structure and theoretical powder XRD pattern of Ba2PrMgNbO6 (a GGA-PBE-relaxed structure; Cu Ka).
Lines closer than 0.1° are merged.

Cell and atoms:
Cell: 6.0616 6.0636 6.5001 Å, 67.53 67.46 61.60°
Positions (direct):
Ba: 0.0000 0.0000 0.0000
Ba: 0.3813 0.3783 0.7839
Pr: 0.1931 0.1914 0.3904
Mg: 0.6906 0.6889 0.3921
Nb: 0.6905 0.6888 0.8922
O: 0.4469 0.8833 0.6536
O: 0.4739 0.4708 0.0947
O: 0.4961 0.9310 0.1315
O: 0.8838 0.4459 0.6531
O: 0.9051 0.9051 0.6919
O: 0.9332 0.4933 0.1310

Top 10 peaks for 2θ from 10° to 90°, sorted by position:
2θ (°), intensity
15.2, 30.1
25.7, 53.3
28.0, 41.7
28.8, 72.3
29.4, 30.3
29.6, 100.0
31.3, 36.5
40.6, 54.7
41.2, 27.2
41.6, 30.3